Record 1
Structure and calculated X-ray powder pattern of Rb2Np2PtS6 (a structure optimized by DFT (GGA-PBE); a wavelength of 1.5418 Å).
Peak positions follow from Bragg's law for the DFT cell and can differ from measured ones.

Principal peaks in the range 2θ from 15° to 90°, in order of rising 2θ:
2θ (°)	intensity
22.32	51
27.10	29
27.71	25
27.88	51
30.68	49
30.79	100
37.75	36
40.63	39
46.80	30
47.21	31

```
11
Lattice="3.341 -5.742 0.000 3.341 5.742 0.000 -2.217 0.000 7.965" Properties=species:S:1:pos:R:3 pbc="T T T"
Rb 3.341 3.828 0.000
Rb 3.341 -3.828 0.000
Np 2.233 1.927 3.983
Np 2.233 -1.927 3.983
Pt -1.108 0.000 3.983
S -0.015 1.840 5.465
S 0.947 0.000 2.561
S -0.015 -1.840 5.465
S 4.481 1.840 2.500
S 3.519 0.000 5.404
S 4.481 -1.840 2.500
```

---

Record 2
Structure and calculated X-ray powder pattern of Rb4Np3PtS8 (a structure optimized by DFT (GGA-PBE); a wavelength of 1.5418 Å).
Peak positions follow from Bragg's law for the DFT cell and can differ from measured ones.

Principal peaks in the range 2θ from 15° to 90°, in order of rising 2θ:
2θ (°)	intensity
23.02	52
25.76	36
26.75	63
28.02	63
30.45	100
40.13	42
40.61	19
43.52	38
47.79	20
55.11	18

```
16
Lattice="7.376 -3.911 0.000 7.376 3.911 0.000 -4.514 0.000 7.726" Properties=species:S:1:pos:R:3 pbc="T T T"
Rb 0.000 0.000 0.000
Rb 3.688 1.956 0.000
Rb 3.688 -1.956 0.000
Rb 7.376 0.000 0.000
Np -2.257 0.000 3.863
Np 1.431 1.956 3.863
Np 1.431 -1.956 3.863
Pt 5.119 0.000 3.863
S 0.174 0.000 5.348
S 2.126 0.000 2.173
S 3.973 1.736 5.156
S 6.265 1.736 2.570
S 3.973 -1.736 5.156
S 6.265 -1.736 2.570
S 8.112 0.000 5.553
S 10.064 0.000 2.378
```

---

Record 3
Structure and calculated X-ray powder pattern of RbNp4Pt3S12 (a structure optimized by DFT (GGA-PBE); a wavelength of 1.5418 Å).
Peak positions follow from Bragg's law for the DFT cell and can differ from measured ones.

Principal peaks in the range 2θ from 15° to 90°, in order of rising 2θ:
2θ (°)	intensity
18.16	4
25.79	100
36.80	24
45.48	58
53.02	15
59.87	23
66.28	6
72.38	24
84.06	17
89.78	7

```
20
Lattice="-4.885 4.885 4.885 4.885 -4.885 4.885 4.885 4.885 -4.885" Properties=species:S:1:pos:R:3 pbc="T T T"
Rb 0.000 0.000 0.000
Np 2.443 2.443 -2.443
Np 2.443 -2.443 2.443
Np -2.443 2.443 2.443
Np 2.443 2.443 2.443
Pt 4.885 0.000 0.000
Pt 0.000 4.885 0.000
Pt 0.000 0.000 4.885
S 4.885 -1.743 3.301
S 3.142 1.584 0.000
S 6.628 1.584 0.000
S 3.301 4.885 -1.743
S 1.584 0.000 3.142
S 0.000 3.142 1.584
S 4.885 1.743 3.301
S 3.301 4.885 1.743
S 1.584 0.000 6.628
S -1.743 3.301 4.885
S 1.743 3.301 4.885
S 0.000 6.628 1.584
```

---

Record 4
Structure and calculated X-ray powder pattern of RbNp4Pt3Se12 (a structure optimized by DFT (GGA-PBE); a wavelength of 1.5418 Å).
Peak positions follow from Bragg's law for the DFT cell and can differ from measured ones.

Principal peaks in the range 2θ from 15° to 90°, in order of rising 2θ:
2θ (°)	intensity
24.51	100
27.45	19
34.93	31
43.14	86
50.24	16
51.89	9
56.66	29
68.32	26
79.09	30
89.48	9

```
20
Lattice="-5.137 5.137 5.137 5.137 -5.137 5.137 5.137 5.137 -5.137" Properties=species:S:1:pos:R:3 pbc="T T T"
Rb 0.000 0.000 0.000
Np 2.568 2.568 -2.568
Np 2.568 -2.568 2.568
Np -2.568 2.568 2.568
Np 2.568 2.568 2.568
Pt 5.137 0.000 0.000
Pt 0.000 5.137 0.000
Pt 0.000 0.000 5.137
Se 5.137 3.462 -1.831
Se 3.306 0.000 1.674
Se 6.968 0.000 1.674
Se 1.674 3.306 0.000
Se 3.462 -1.831 5.137
Se 0.000 1.674 3.306
Se 5.137 3.462 1.831
Se 1.674 6.968 0.000
Se 3.462 1.831 5.137
Se -1.831 5.137 3.462
Se 1.831 5.137 3.462
Se 0.000 1.674 6.968
```

---

Record 5
Structure and calculated X-ray powder pattern of NpPt3Rh (a structure optimized by DFT (GGA-PBE); a wavelength of 1.5418 Å).
Peak positions follow from Bragg's law for the DFT cell and can differ from measured ones.

Principal peaks in the range 2θ from 15° to 90°, in order of rising 2θ:
2θ (°)	intensity
25.55	15
36.41	91
38.86	100
41.72	27
41.94	41
60.64	18
61.27	17
74.55	15
77.02	18
78.99	24

```
10
Lattice="4.308 0.000 0.000 0.000 6.968 0.000 0.000 0.000 5.982" Properties=species:S:1:pos:R:3 pbc="T T T"
Np 1.077 1.742 1.391
Np 3.231 5.226 4.591
Pt 1.077 0.418 4.476
Pt 1.077 3.066 4.476
Pt 1.077 5.226 2.800
Pt 3.231 1.742 3.182
Pt 3.231 3.902 1.506
Pt 3.231 6.550 1.506
Rh 1.077 5.226 0.144
Rh 3.231 1.742 5.839
```

---

Record 6
Structure and calculated X-ray powder pattern of Np2PtRh9 (a structure optimized by DFT (GGA-PBE); a wavelength of 1.5418 Å).
Peak positions follow from Bragg's law for the DFT cell and can differ from measured ones.

Principal peaks in the range 2θ from 15° to 90°, in order of rising 2θ:
2θ (°)	intensity
22.37	13
31.84	11
39.26	100
45.65	49
51.40	6
56.73	5
66.54	31
80.03	25
80.16	12
84.42	11

```
12
Lattice="3.977 0.000 0.000 0.000 3.977 0.000 0.000 0.000 11.910" Properties=species:S:1:pos:R:3 pbc="T T T"
Np 0.000 0.000 2.042
Np 0.000 0.000 9.868
Pt 0.000 0.000 5.955
Rh 0.000 1.989 0.000
Rh 0.000 1.989 4.019
Rh 0.000 1.989 7.891
Rh 1.989 0.000 0.000
Rh 1.989 0.000 4.019
Rh 1.989 0.000 7.891
Rh 1.989 1.989 2.023
Rh 1.989 1.989 5.955
Rh 1.989 1.989 9.887
```

---

Record 7
Structure and calculated X-ray powder pattern of Th2NpPtRh5 (a structure optimized by DFT (GGA-PBE); a wavelength of 1.5418 Å).
Peak positions follow from Bragg's law for the DFT cell and can differ from measured ones.

Principal peaks in the range 2θ from 15° to 90°, in order of rising 2θ:
2θ (°)	intensity
27.04	33
29.65	73
33.24	51
34.41	33
34.96	100
39.08	24
40.60	61
46.03	50
49.89	22
60.17	26

```
18
Lattice="-4.261 4.261 5.208 4.261 -4.261 5.208 4.261 4.261 -5.208" Properties=species:S:1:pos:R:3 pbc="T T T"
Th 5.424 1.163 0.000
Th 1.163 3.098 0.000
Th 3.098 1.163 5.208
Th -1.163 3.098 5.208
Np 0.000 0.000 2.604
Np 0.000 0.000 7.812
Pt 4.261 0.000 2.604
Pt 0.000 4.261 2.604
Rh 0.000 0.000 0.000
Rh 2.629 1.632 -1.435
Rh 2.629 -1.632 3.773
Rh 2.629 1.632 1.435
Rh 2.629 -1.632 6.643
Rh 0.000 0.000 5.208
Rh 1.632 5.893 -1.435
Rh 1.632 2.629 3.773
Rh 1.632 5.893 1.435
Rh 1.632 2.629 6.643
```

---

Record 8
Structure and calculated X-ray powder pattern of NpSnRuPt (a structure optimized by DFT (GGA-PBE); a wavelength of 1.5418 Å).
Peak positions follow from Bragg's law for the DFT cell and can differ from measured ones.

Principal peaks in the range 2θ from 15° to 90°, in order of rising 2θ:
2θ (°)	intensity
22.87	11
26.47	1
37.78	100
44.62	6
54.49	18
59.86	3
68.21	36
72.99	2
80.70	12
85.24	2

```
4
Lattice="0.000 3.368 3.368 3.368 0.000 3.368 3.368 3.368 0.000" Properties=species:S:1:pos:R:3 pbc="T T T"
Np 0.000 0.000 0.000
Sn 3.368 3.368 3.368
Ru 1.684 1.684 1.684
Pt 5.052 5.052 5.052
```

---

Record 9
Structure and calculated X-ray powder pattern of Np3Tl4PtS8 (a structure optimized by DFT (GGA-PBE); a wavelength of 1.5418 Å).
Peak positions follow from Bragg's law for the DFT cell and can differ from measured ones.

Principal peaks in the range 2θ from 15° to 90°, in order of rising 2θ:
2θ (°)	intensity
23.18	62
26.67	42
27.44	77
28.99	60
31.07	100
40.81	44
41.32	21
45.12	36
48.38	22
56.64	18

```
16
Lattice="7.090 -3.826 0.000 7.090 3.826 0.000 -4.377 0.000 7.674" Properties=species:S:1:pos:R:3 pbc="T T T"
Np 0.000 0.000 0.000
Np 3.545 1.913 0.000
Np 3.545 -1.913 0.000
Tl -2.188 0.000 3.837
Tl 1.357 1.913 3.837
Tl 1.357 -1.913 3.837
Tl 4.902 0.000 3.837
Pt 7.090 0.000 0.000
S 2.320 0.000 1.492
S -0.140 0.000 5.956
S 5.986 1.704 1.330
S 3.818 1.704 6.344
S 5.986 -1.704 1.330
S 3.818 -1.704 6.344
S 9.944 0.000 1.718
S 7.484 0.000 6.182
```

---

Record 10
Structure and calculated X-ray powder pattern of Np2SbPt (a structure optimized by DFT (GGA-PBE); a wavelength of 1.5418 Å).
Peak positions follow from Bragg's law for the DFT cell and can differ from measured ones.

Principal peaks in the range 2θ from 15° to 90°, in order of rising 2θ:
2θ (°)	intensity
29.85	100
38.79	7
42.31	35
43.13	39
53.33	20
62.01	11
69.74	13
70.91	18
78.51	12
79.08	8

```
4
Lattice="2.097 1.211 7.041 -2.097 1.211 7.041 0.000 -2.422 7.041" Properties=species:S:1:pos:R:3 pbc="T T T"
Np 0.000 0.000 5.056
Np 0.000 0.000 16.068
Sb 0.000 0.000 0.000
Pt 0.000 0.000 10.562
```

---

Record 11
Structure and calculated X-ray powder pattern of Np3Sb4Pt3 (a structure optimized by DFT (GGA-PBE); a wavelength of 1.5418 Å).
Peak positions follow from Bragg's law for the DFT cell and can differ from measured ones.

Principal peaks in the range 2θ from 15° to 90°, in order of rising 2θ:
2θ (°)	intensity
22.32	20
25.83	14
28.94	12
34.39	100
41.38	56
45.55	13
51.29	18
66.38	13
69.47	12
70.99	13

```
20
Lattice="-4.879 4.879 4.879 4.879 -4.879 4.879 4.879 4.879 -4.879" Properties=species:S:1:pos:R:3 pbc="T T T"
Np 7.318 1.220 0.000
Np 3.659 0.000 2.439
Np 2.439 3.659 0.000
Np 0.000 2.439 3.659
Np 1.220 0.000 7.318
Np 0.000 7.318 1.220
Sb 4.016 0.863 -0.863
Sb 6.455 -1.576 1.576
Sb 0.863 0.863 0.863
Sb 0.863 -0.863 4.016
Sb -0.863 4.016 0.863
Sb 1.576 6.455 -1.576
Sb 3.302 3.302 3.302
Sb -1.576 1.576 6.455
Pt 4.879 -2.439 3.659
Pt 3.659 4.879 -2.439
Pt 4.879 2.439 1.220
Pt 2.439 1.220 4.879
Pt 1.220 4.879 2.439
Pt -2.439 3.659 4.879
```

---

Record 12
Structure and calculated X-ray powder pattern of Np3Si4Pt2 (a structure optimized by DFT (GGA-PBE); a wavelength of 1.5418 Å).
Peak positions follow from Bragg's law for the DFT cell and can differ from measured ones.

Principal peaks in the range 2θ from 15° to 90°, in order of rising 2θ:
2θ (°)	intensity
24.77	46
33.69	100
34.04	60
34.27	35
43.51	29
43.66	51
46.53	21
56.07	23
56.52	17
65.11	16

```
9
Lattice="5.351 -2.080 0.000 5.351 2.080 0.000 -2.009 0.000 7.851" Properties=species:S:1:pos:R:3 pbc="T T T"
Np 0.000 0.000 0.000
Np 2.890 0.000 2.597
Np 5.802 0.000 5.254
Si -0.289 0.000 3.003
Si 1.050 0.000 7.406
Si 7.643 0.000 0.445
Si 8.981 0.000 4.848
Pt 2.689 0.000 5.635
Pt 6.003 0.000 2.216
```